No. 1
This entry pairs a crystal structure of LiMnPO5 with its computed powder diffractogram. Radiation: Cu Kα, 1.54184 Å. Structure: a cell relaxed with PBE+U.
Kinematic intensities with the Lorentz-polarization factor, no thermal factor.

Atomic structure:
```
LiMnPO5
1.0
4.967 0.000 0.000
0.000 10.249 0.000
-2.748 0.000 6.668
Li Mn P O
4 4 4 20
direct
0.040 0.097 0.166
0.040 0.403 0.666
0.960 0.597 0.334
0.960 0.903 0.834
0.446 0.071 0.819
0.446 0.429 0.319
0.554 0.571 0.681
0.554 0.929 0.181
0.191 0.651 0.970
0.191 0.849 0.470
0.809 0.151 0.530
0.809 0.349 0.030
0.135 0.189 0.644
0.135 0.311 0.144
0.217 0.574 0.163
0.217 0.926 0.663
0.268 0.038 0.000
0.268 0.462 0.500
0.303 0.567 0.837
0.303 0.933 0.337
0.353 0.719 0.524
0.353 0.781 0.024
0.647 0.219 0.976
0.647 0.281 0.476
0.697 0.067 0.663
0.697 0.433 0.163
0.732 0.538 0.500
0.732 0.962 0.000
0.783 0.074 0.337
0.783 0.426 0.837
0.865 0.689 0.856
0.865 0.811 0.356
```

Largest 6 diffraction maxima, low angle first, 5° ≤ 2θ ≤ 70°:
h k l, 2θ (°), I_rel
0 2 0, 17.3, 42.8
1 1 -1, 20.7, 88.9
0 2 1, 21.9, 100.0
1 1 -2, 27.8, 90.3
1 2 1, 32.6, 94.2
1 4 1, 45.1, 52.2


No. 2
This entry pairs a crystal structure of LiMnPO4 with its computed powder diffractogram. Radiation: Cu Kα, 1.54184 Å. Structure: a cell relaxed with PBE+U.
Kinematic intensities with the Lorentz-polarization factor, no thermal factor.

Atomic structure:
```
LiMnPO4
1.0
6.356 0.000 0.000
0.000 5.620 0.000
0.000 0.000 8.502
Li Mn P O
4 4 4 16
direct
0.244 0.250 0.086
0.256 0.750 0.586
0.744 0.250 0.414
0.756 0.750 0.914
0.001 0.250 0.748
0.499 0.750 0.248
0.501 0.250 0.752
0.999 0.750 0.252
0.246 0.250 0.398
0.254 0.750 0.898
0.746 0.250 0.102
0.754 0.750 0.602
0.044 0.250 0.497
0.055 0.750 0.001
0.248 0.027 0.284
0.248 0.473 0.284
0.252 0.527 0.784
0.252 0.973 0.784
0.445 0.250 0.501
0.456 0.750 0.997
0.544 0.250 0.003
0.555 0.750 0.499
0.748 0.027 0.216
0.748 0.473 0.216
0.752 0.527 0.716
0.752 0.973 0.716
0.945 0.250 0.999
0.956 0.750 0.503
```

Largest 6 diffraction maxima, low angle first, 5° ≤ 2θ ≤ 70°:
h k l, 2θ (°), I_rel
1 1 1, 23.6, 43.1
1 0 2, 25.2, 27.1
0 2 0, 31.8, 39.3
2 1 1, 34.1, 100.0
0 1 3, 35.5, 48.5
2 2 4, 62.1, 35.0